Diffraction record for ScTaO4. The powder diffractogram is theoretical, not measured: it uses DFT lattice parameters and positions (GGA-PBE) and Cu Kα (weighted mean of Kα1 and Kα2).

Atomic structure:
```
data_ScTaO4
_cell_length_a 5.1908
_cell_length_b 4.8165
_cell_length_c 5.7484
_cell_angle_alpha 90.00
_cell_angle_beta 90.00
_cell_angle_gamma 90.00
_space_group_name_H-M_alt 'P 1'
_space_group_IT_number 1
loop_
_space_group_symop_operation_xyz
'x,y,z'
loop_
_atom_site_label
_atom_site_fract_x
_atom_site_fract_y
_atom_site_fract_z
_atom_site_occupancy
Sc1 0.0000 0.0000 0.0000 1
Sc2 0.0000 0.5000 0.5000 1
Ta1 0.5000 0.0000 0.3504 1
Ta2 0.5000 0.5000 0.8504 1
O1 0.1848 0.2114 0.2856 1
O2 0.1848 0.2886 0.7856 1
O3 0.3432 0.7370 0.5602 1
O4 0.3432 0.7630 0.0602 1
O5 0.6568 0.2370 0.0602 1
O6 0.6568 0.2630 0.5602 1
O7 0.8152 0.7114 0.7856 1
O8 0.8152 0.7886 0.2856 1
```

Top 10 peaks for 15° ≤ 2θ ≤ 90°, by intensity:
(hkl)  2theta  intensity
1 1 1  29.7  100
0 1 1  24.1  54
1 0 0  17.1  42
1 2 2  52.6  23
3 0 2  62.7  21
1 0 2  35.7  21
2 1 1  42.6  21
2 2 0  51.8  16
3 1 1  59.0  16
2 0 0  34.6  14